# 1
Diffraction record for Np2Al9Ir3. The XRD peak list is computed, not measured: it uses a crystal structure in Alexandria, relaxed with PBE and Cu Kα X-rays.
Neutral-atom scattering factors, no anomalous dispersion.

Main lines, by angle (15° ≤ 2θ ≤ 90°):
25.2°, d = 3.529 Å, rel. 26; 25.3°, d = 3.514 Å, rel. 13; 30.2°, d = 2.959 Å, rel. 100; 37.1°, d = 2.423 Å, rel. 35; 38.1°, d = 2.360 Å, rel. 22; 41.0°, d = 2.201 Å, rel. 21; 41.2°, d = 2.190 Å, rel. 41; 51.8°, d = 1.765 Å, rel. 19; 57.4°, d = 1.605 Å, rel. 22; 64.1°, d = 1.454 Å, rel. 17

Structure:
```
Np2Al9Ir3
1.0
6.602 -3.787 0.000
6.602 3.787 0.000
-4.404 0.000 9.440
Np Al Ir
4 18 6
direct
0.086 0.251 0.248 Np
0.251 0.086 0.748 Np
0.749 0.914 0.252 Np
0.914 0.749 0.752 Np
0.024 0.858 0.076 Al
0.142 0.976 0.424 Al
0.191 0.360 0.572 Al
0.213 0.579 0.252 Al
0.314 0.483 0.944 Al
0.360 0.191 0.072 Al
0.370 0.630 0.750 Al
0.421 0.787 0.248 Al
0.483 0.314 0.444 Al
0.517 0.686 0.556 Al
0.579 0.213 0.752 Al
0.630 0.370 0.250 Al
0.640 0.809 0.928 Al
0.686 0.517 0.056 Al
0.787 0.421 0.748 Al
0.809 0.640 0.428 Al
0.858 0.024 0.576 Al
0.976 0.142 0.924 Al
0.000 0.500 0.000 Ir
0.156 0.672 0.499 Ir
0.328 0.844 0.001 Ir
0.500 0.000 0.500 Ir
0.672 0.156 0.999 Ir
0.844 0.328 0.501 Ir
```

# 2
Diffraction record for Hf2TiSiO. The XRD peak list is computed, not measured: it uses a crystal structure in Alexandria, relaxed with PBE and Cu Kα X-rays.
Neutral-atom scattering factors, no anomalous dispersion.

Main lines, by angle (15° ≤ 2θ ≤ 90°):
22.4°, d = 3.967 Å, rel. 43; 28.6°, d = 3.121 Å, rel. 37; 36.6°, d = 2.453 Å, rel. 100; 40.9°, d = 2.207 Å, rel. 43; 45.7°, d = 1.983 Å, rel. 15; 47.1°, d = 1.929 Å, rel. 25; 54.8°, d = 1.674 Å, rel. 13; 59.2°, d = 1.561 Å, rel. 14; 63.0°, d = 1.475 Å, rel. 23; 71.7°, d = 1.317 Å, rel. 28

Structure:
```
Hf2TiSiO
1.0
4.414 0.000 0.000
0.000 4.414 0.000
0.000 0.000 3.967
Hf Ti Si O
2 1 1 1
direct
0.000 0.500 0.000 Hf
0.500 0.000 0.000 Hf
0.000 0.000 0.500 Ti
0.500 0.500 0.500 Si
0.000 0.000 0.000 O
```

# 3
Diffraction record for La5U3N8. The XRD peak list is computed, not measured: it uses a crystal structure in Alexandria, relaxed with PBE and Cu Kα X-rays.
Neutral-atom scattering factors, no anomalous dispersion.

Main lines, by angle (15° ≤ 2θ ≤ 90°):
30.1°, d = 2.965 Å, rel. 35; 30.5°, d = 2.934 Å, rel. 100; 35.2°, d = 2.547 Å, rel. 92; 50.5°, d = 1.808 Å, rel. 32; 50.9°, d = 1.794 Å, rel. 32; 59.9°, d = 1.544 Å, rel. 17; 60.3°, d = 1.535 Å, rel. 32; 60.5°, d = 1.531 Å, rel. 15; 63.4°, d = 1.467 Å, rel. 16; 85.5°, d = 1.136 Å, rel. 15

Structure:
```
La5U3N8
1.0
3.588 2.072 5.930
-3.588 2.072 5.930
0.000 -4.143 5.930
La U N
5 3 8
direct
0.000 0.000 0.000 La
0.000 0.500 0.500 La
0.500 0.000 0.500 La
0.500 0.500 0.000 La
0.500 0.500 0.500 La
0.000 0.000 0.500 U
0.000 0.500 0.000 U
0.500 0.000 0.000 U
0.202 0.750 0.750 N
0.232 0.232 0.232 N
0.250 0.250 0.798 N
0.250 0.798 0.250 N
0.750 0.202 0.750 N
0.750 0.750 0.202 N
0.768 0.768 0.768 N
0.798 0.250 0.250 N
```